This entry pairs a crystal structure of Ba10Ru3WCl4O18 with its theoretical PXRD pattern. Radiation: Cu Kα. Structure: a structure optimized by DFT (PBE+U).
Kinematic intensities with the Lorentz-polarization factor, no thermal factor.

Cell and atoms:
```
36
Lattice="5.9539 0.0000 0.0000 -2.9770 5.1562 0.0000 0.0000 0.0000 25.1771" Properties=species:S:1:pos:R:3 pbc="T T T"
Ba 0.0000 0.0000 0.0000
Ba 0.0000 0.0000 3.9725
Ba 0.0000 0.0000 10.3743
Ba 0.0000 0.0000 14.4261
Ba 0.0000 0.0000 18.7873
Ba 2.9770 1.7187 1.9895
Ba 2.9770 1.7187 6.2084
Ba 2.9770 1.7187 12.5351
Ba 2.9770 1.7187 16.5826
Ba 2.9770 1.7187 22.9618
Ru 0.0000 3.4375 0.5589
Ru 0.0000 3.4375 3.4093
Ru 0.0000 3.4375 13.2251
W 0.0000 3.4375 15.9181
Cl 0.0000 0.0000 7.1298
Cl 0.0000 0.0000 21.9780
Cl 2.9770 1.7187 9.4119
Cl 2.9770 1.7187 19.6985
O -1.4276 2.6133 4.3600
O -1.4260 2.6142 24.7757
O -1.4044 2.6267 14.6363
O 0.0000 1.7864 12.2339
O -1.4299 4.2631 12.2339
O 0.0000 1.8136 16.9153
O -1.4063 4.2494 16.9153
O 0.0000 1.8837 1.9799
O -1.3456 4.2144 1.9799
O 1.4044 2.6267 14.6363
O 0.0000 5.0592 14.6363
O 1.4276 2.6133 4.3600
O 1.4260 2.6142 24.7757
O 0.0000 5.0860 4.3600
O 0.0000 5.0841 24.7757
O 1.3456 4.2144 1.9799
O 1.4063 4.2494 16.9153
O 1.4299 4.2631 12.2339
```

Most intense lines, 2θ from 10° to 90°, sorted by position:
2θ/deg  I/Imax  (hkl)
18.60  24  0 1 2
24.71  37  0 1 5
30.02  100  1 1 0
30.30  50  0 1 7
39.26  26  2 0 5
41.77  20  1 1 8
43.17  32  2 0 7
53.30  20  3 0 0
53.46  27  1 2 7
62.39  17  2 2 0